Starting from a crystal structure in Alexandria, relaxed with PBE, the powder diffraction line list of Eu3Rh was computed for CuKα.
Lines closer than 0.1° are merged.

Cell and atoms:
Unit cell a=5.700 b=11.923 c=4.114 alpha=90.00 beta=90.00 gamma=90.00
Space group Imm2 (No. 44)
Unique sites:
Eu1 0.000 0.000 0.000 (multiplicity 2)
Eu2 0.000 0.333 0.003 (multiplicity 4)
Rh1 0.000 0.500 0.503 (multiplicity 2)

Top 10 peaks for 15 to 90 degrees two-theta, low angle first:
two_theta  d/Å  I (rel.)
26.72  3.336  38.6
27.36  3.260  36.4
31.32  2.856  100.0
44.03  2.057  13.0
44.91  2.018  49.2
45.65  1.987  11.7
52.61  1.740  12.1
55.06  1.668  13.4
56.45  1.630  12.8
74.23  1.278  11.4

Starting from a crystal structure in Alexandria, relaxed with PBE, the powder diffraction line list of EuSnRh4 was computed for CuKα.
Lines closer than 0.1° are merged.

Cell and atoms:
Unit cell a=7.535 b=7.535 c=7.535 alpha=90.00 beta=90.00 gamma=90.00
Space group F-43m (No. 216)
Unique sites:
Eu1 0.000 0.000 0.000 (multiplicity 4)
Sn1 0.250 0.250 0.250 (multiplicity 4)
Rh1 0.124 0.124 0.624 (multiplicity 16)

Top 10 peaks for 15 to 90 degrees two-theta, low angle first:
two_theta  d/Å  I (rel.)
33.64  2.664  35.9
39.67  2.272  100.0
41.52  2.175  31.7
48.32  1.884  1.8
60.17  1.538  13.7
64.23  1.450  32.1
70.73  1.332  26.5
80.65  1.191  6.1
84.28  1.149  11.5
85.48  1.136  11.5

Starting from a crystal structure in Alexandria, relaxed with PBE, the powder diffraction line list of EuThRh4 was computed for CuKα.
Lines closer than 0.1° are merged.

Cell and atoms:
Unit cell a=7.650 b=7.650 c=7.650 alpha=90.00 beta=90.00 gamma=90.00
Space group F-43m (No. 216)
Unique sites:
Eu1 0.000 0.000 0.000 (multiplicity 4)
Th1 0.250 0.250 0.250 (multiplicity 4)
Rh1 0.125 0.125 0.625 (multiplicity 16)

Top 10 peaks for 15 to 90 degrees two-theta, low angle first:
two_theta  d/Å  I (rel.)
20.10  4.417  3.6
33.12  2.705  47.9
39.05  2.307  100.0
40.86  2.208  23.3
59.17  1.562  18.6
63.15  1.472  32.5
69.51  1.352  25.2
79.19  1.210  8.2
82.72  1.167  11.5
83.90  1.153  8.5

Starting from a crystal structure in Alexandria, relaxed with PBE, the powder diffraction line list of EuTlRh was computed for CuKα.
Lines closer than 0.1° are merged.

Cell and atoms:
Unit cell a=3.492 b=3.492 c=11.451 alpha=90.00 beta=90.00 gamma=90.00
Space group I4mm (No. 107)
Unique sites:
Eu1 0.000 0.000 0.000 (multiplicity 2)
Tl1 0.000 0.000 0.290 (multiplicity 2)
Rh1 0.000 0.000 0.659 (multiplicity 2)

Top 10 peaks for 15 to 90 degrees two-theta, low angle first:
two_theta  d/Å  I (rel.)
26.69  3.341  13.7
31.24  2.863  8.0
34.82  2.577  100.0
36.38  2.470  51.4
48.69  1.870  9.6
52.40  1.746  18.1
61.39  1.510  11.9
62.72  1.481  7.5
64.46  1.446  33.5
88.54  1.104  8.5